1.
This entry pairs a crystal structure of SmMnFeC2 with its calculated X-ray powder pattern. Radiation: copper Kα. Structure: a crystal structure in Alexandria, relaxed with GGA-PBE.
Neutral-atom scattering factors, no anomalous dispersion.

Cell and atoms:
```
SmMnFeC2
1.0
-1.7530 1.7530 4.9222
1.7530 -1.7530 4.9222
1.7530 1.7530 -4.9222
Sm Mn Fe C
1 1 1 2
direct
0.0000 0.0000 0.0000
0.2500 0.7500 0.5000
0.7500 0.2500 0.5000
0.3340 0.3340 0.0000
0.6660 0.6660 0.0000
```

Top 10 peaks for 2θ from 10° to 80°, sorted by position:
2θ (°)  d (Å)  Rel. int.
27.00  3.303  88
36.51  2.461  34
37.54  2.396  56
40.75  2.214  100
52.18  1.753  29
53.37  1.717  14
59.72  1.548  20
65.36  1.428  24
66.04  1.415  20
68.59  1.368  24

***

2.
This entry pairs a crystal structure of Fe3Mo3C with its calculated X-ray powder pattern. Radiation: copper Kα. Structure: a crystal structure in Alexandria, relaxed with GGA-PBE.
Neutral-atom scattering factors, no anomalous dispersion.

Cell and atoms:
```
Fe3Mo3C
1.0
0.0000 5.5262 5.5262
5.5262 0.0000 5.5262
5.5262 5.5262 0.0000
Fe Mo C
12 12 4
direct
0.0000 0.0000 0.0000
0.0000 0.0000 0.5000
0.0000 0.5000 0.0000
0.1059 0.7980 0.7980
0.2020 0.2020 0.2020
0.2020 0.2020 0.8941
0.2020 0.8941 0.2020
0.5000 0.0000 0.0000
0.7980 0.1059 0.7980
0.7980 0.7980 0.1059
0.7980 0.7980 0.7980
0.8941 0.2020 0.2020
0.1722 0.1722 0.5778
0.1722 0.5778 0.1722
0.1722 0.5778 0.5778
0.4222 0.4222 0.8278
0.4222 0.8278 0.4222
0.4222 0.8278 0.8278
0.5778 0.1722 0.1722
0.5778 0.1722 0.5778
0.5778 0.5778 0.1722
0.8278 0.4222 0.4222
0.8278 0.4222 0.8278
0.8278 0.8278 0.4222
0.0000 0.5000 0.5000
0.5000 0.0000 0.5000
0.5000 0.5000 0.0000
0.5000 0.5000 0.5000
```

Top 10 peaks for 2θ from 10° to 80°, sorted by position:
2θ (°)  d (Å)  Rel. int.
32.40  2.763  14
35.40  2.536  17
39.96  2.256  43
42.50  2.127  100
46.48  1.954  46
49.48  1.842  8
59.75  1.548  8
69.63  1.350  12
72.58  1.303  36
74.32  1.276  9